(1)
Starting from a DFT-relaxed cell (PBE, Alexandria), the powder X-ray diffraction pattern of YEr4Th3 was computed for Cu Kα (weighted mean of Kα1 and Kα2).

Principal peaks in the range 15 to 90 degrees two-theta, in order of falling intensity:
d (Å), I_rel, (hkl)
2.898, 100, 1 2 2
1.774, 36, 2 4 0
2.511, 34, 0 4 0
1.514, 29, 1 6 2
2.506, 17, 2 0 0
1.512, 14, 3 2 2

Crystal structure
Lattice parameters (Å, degrees): 5.0122 10.0521 10.0370 90.00 90.00 90.00
Space group Pmmn (No. 59, origin choice 2)
Symmetry-distinct sites (fractional):
Y1 0.2500 0.2500 0.1249 x2
Er1 0.2500 0.2500 0.6277 x2
Er2 0.2500 0.5013 0.3750 x4
Er3 0.2500 0.7500 0.6239 x2
Th1 0.2500 0.0028 0.8753 x4
Th2 0.2500 0.7500 0.1263 x2



(2)
Starting from a DFT-relaxed cell (PBE, Alexandria), the powder X-ray diffraction pattern of Hg2Cl was computed for Cu Kα (weighted mean of Kα1 and Kα2).

Principal peaks in the range 15 to 90 degrees two-theta, in order of falling intensity:
d (Å), I_rel, (hkl)
3.185, 100, 1 1 1
4.190, 59, 2 0 -2
2.889, 55, 2 0 2
5.781, 43, 2 0 -1
2.028, 38, 5 1 -2
2.680, 37, 3 1 0

Crystal structure
Lattice parameters (Å, degrees): 12.1593 3.8172 9.0242 90.00 111.80 90.00
Space group C2/m (No. 12)
Symmetry-distinct sites (fractional):
Hg1 0.0696 0.0000 0.4162 x4
Hg2 0.1470 0.5000 0.8787 x4
Cl1 0.1742 0.5000 0.3080 x4



- Number 1 is which compound?
  YEr4Th3